Calculated powder diffractogram of TbBe4B2 for CuKα, from a crystal structure in Alexandria, relaxed with GGA-PBE.
Lines closer than 0.1° are merged.

Structural model:
Cell: 3.5128 11.1477 3.5129 Å, 90.00 90.00 90.00°
Positions (direct):
Tb (0.0000, 0.0000, 0.0000)
Tb (0.5000, 0.5000, 0.0000)
Be (0.0000, 0.1875, 0.5000)
Be (0.0000, 0.3146, 0.0000)
Be (0.0000, 0.6854, 0.0000)
Be (0.0000, 0.8125, 0.5000)
Be (0.5000, 0.1854, 0.0000)
Be (0.5000, 0.3125, 0.5000)
Be (0.5000, 0.6875, 0.5000)
Be (0.5000, 0.8146, 0.0000)
B (0.0000, 0.4088, 0.5000)
B (0.0000, 0.5912, 0.5000)
B (0.5000, 0.0912, 0.5000)
B (0.5000, 0.9088, 0.5000)

Principal peaks in the range 10° ≤ 2θ ≤ 90°, in order of falling intensity:
(0 2 0), 2θ = 15.90°, I = 100.0
(1 1 1), 2θ = 37.08°, I = 62.7
(1 1 0), 2θ = 26.61°, I = 57.9
(0 2 1), 2θ = 30.07°, I = 47.7
(1 3 1), 2θ = 43.84°, I = 47.2
(1 3 0), 2θ = 35.16°, I = 35.7